# Mg6TiCoO8
Calculated XRD peak list, Cu Kα, 1.54184 Å. Input: a crystal structure in the Materials Project, relaxed with PBE+U.

Principal peaks in the range 2θ = 10–80°, sorted by position:
10.19 deg, d 8.678, intensity 35
36.46 deg, d 2.464, intensity 37
41.63 deg, d 2.170, intensity 54
42.72 deg, d 2.117, intensity 100
61.17 deg, d 1.515, intensity 59
62.00 deg, d 1.497, intensity 28
74.12 deg, d 1.279, intensity 12
77.47 deg, d 1.232, intensity 26

Atomic structure:
Cell: 4.233 4.233 8.678 Å, 90.00 90.00 90.00°
Space group P4/mmm (No. 123)
Unique sites:
Mg: 0.000 0.000 0.000 [1 per cell]
Mg: 0.000 0.500 0.249 [4 per cell]
Mg: 0.500 0.500 0.000 [1 per cell]
Ti: 0.000 0.000 0.500 [1 per cell]
Co: 0.500 0.500 0.500 [1 per cell]
O: 0.000 0.000 0.253 [2 per cell]
O: 0.000 0.500 0.000 [2 per cell]
O: 0.000 0.500 0.500 [2 per cell]
O: 0.500 0.500 0.239 [2 per cell]


# MgTi2Co2O6
Calculated XRD peak list, Cu Kα, 1.54184 Å. Input: a crystal structure in the Materials Project, relaxed with PBE+U.

Principal peaks in the range 2θ = 10–80°, sorted by position:
23.07 deg, d 3.854, intensity 40
31.24 deg, d 2.863, intensity 25
34.42 deg, d 2.606, intensity 100
36.27 deg, d 2.477, intensity 36
39.08 deg, d 2.305, intensity 33
47.44 deg, d 1.916, intensity 20
50.93 deg, d 1.793, intensity 92
61.65 deg, d 1.504, intensity 41

Atomic structure:
Cell: 5.2117 5.2117 14.8164 Å, 90.00 90.00 120.00°
Space group R-3 (No. 148, hexagonal axes)
Unique sites:
Mg: 0.0000 0.0000 0.0000 [3 per cell]
Ti: 0.0000 0.0000 0.1869 [6 per cell]
Co: 0.0000 0.0000 0.3570 [6 per cell]
O: 0.0112 0.6345 0.5789 [18 per cell]


# MgTi2Co4O8
Calculated XRD peak list, Cu Kα, 1.54184 Å. Input: a crystal structure in the Materials Project, relaxed with PBE+U.

Principal peaks in the range 2θ = 10–80°, sorted by position:
29.97 deg, d 2.981, intensity 93
33.90 deg, d 2.644, intensity 59
34.29 deg, d 2.615, intensity 62
34.57 deg, d 2.595, intensity 100
34.75 deg, d 2.581, intensity 58
35.19 deg, d 2.550, intensity 88
41.59 deg, d 2.171, intensity 86
62.25 deg, d 1.491, intensity 78

Atomic structure:
Cell: 5.955 5.965 6.282 Å, 89.38 61.76 60.09°
Space group P1 (No. 1)
Unique sites:
Mg: 0.000 0.000 0.000 [1 per cell]
Ti: 0.052 0.460 0.434 [1 per cell]
Ti: 0.547 0.972 0.933 [1 per cell]
Co: 0.301 0.878 0.517 [1 per cell]
Co: 0.505 0.509 0.982 [1 per cell]
Co: 0.683 0.164 0.460 [1 per cell]
Co: 0.999 0.510 0.984 [1 per cell]
O: 0.009 0.733 0.245 [1 per cell]
O: 0.039 0.232 0.215 [1 per cell]
O: 0.450 0.280 0.814 [1 per cell]
O: 0.480 0.785 0.745 [1 per cell]
O: 0.513 0.230 0.212 [1 per cell]
O: 0.544 0.747 0.162 [1 per cell]
O: 0.987 0.787 0.745 [1 per cell]
O: 0.996 0.293 0.715 [1 per cell]


# MgTi2Co2O6
Calculated XRD peak list, Cu Kα, 1.54184 Å. Input: a crystal structure in the Materials Project, relaxed with PBE+U.

Principal peaks in the range 2θ = 10–80°, sorted by position:
23.04 deg, d 3.861, intensity 43
31.04 deg, d 2.882, intensity 18
34.50 deg, d 2.600, intensity 81
35.96 deg, d 2.497, intensity 37
39.05 deg, d 2.307, intensity 21
50.66 deg, d 1.802, intensity 100
61.81 deg, d 1.501, intensity 37
62.77 deg, d 1.480, intensity 9

Atomic structure:
Cell: 5.1997 5.1997 14.9988 Å, 90.00 90.00 120.00°
Space group R-3 (No. 148, hexagonal axes)
Unique sites:
Mg: 0.0000 0.0000 0.0000 [3 per cell]
Ti: 0.0000 0.0000 0.3490 [6 per cell]
Co: 0.0000 0.0000 0.1776 [6 per cell]
O: 0.0027 0.6740 0.2613 [18 per cell]


# MgTi2Co4O8
Calculated XRD peak list, Cu Kα, 1.54184 Å. Input: a crystal structure in the Materials Project, relaxed with PBE+U.

Principal peaks in the range 2θ = 10–80°, sorted by position:
16.37 deg, d 5.414, intensity 70
17.19 deg, d 5.159, intensity 31
27.07 deg, d 3.294, intensity 85
29.04 deg, d 3.075, intensity 63
30.47 deg, d 2.934, intensity 32
35.18 deg, d 2.551, intensity 100
45.59 deg, d 1.990, intensity 44
57.23 deg, d 1.610, intensity 35

Atomic structure:
Cell: 12.309 5.876 5.863 Å, 90.00 118.39 90.00°
Space group Cm (No. 8)
Unique sites:
Mg: 0.000 0.000 0.000 [2 per cell]
Ti: 0.198 0.000 0.936 [2 per cell]
Ti: 0.199 0.000 0.455 [2 per cell]
Co: 0.008 0.500 0.505 [2 per cell]
Co: 0.271 0.500 0.270 [2 per cell]
Co: 0.325 0.243 0.822 [4 per cell]
O: 0.138 0.223 0.635 [4 per cell]
O: 0.150 0.210 0.148 [4 per cell]
O: 0.370 0.000 0.118 [2 per cell]
O: 0.371 0.000 0.617 [2 per cell]
O: 0.371 0.500 0.099 [2 per cell]
O: 0.373 0.500 0.642 [2 per cell]


# Mg6TiCoO8
Calculated XRD peak list, Cu Kα, 1.54184 Å. Input: a crystal structure in the Materials Project, relaxed with PBE+U.

Principal peaks in the range 2θ = 10–80°, sorted by position:
20.87 deg, d 4.256, intensity 15
29.41 deg, d 3.037, intensity 13
36.34 deg, d 2.472, intensity 36
41.67 deg, d 2.167, intensity 52
42.48 deg, d 2.128, intensity 100
61.02 deg, d 1.518, intensity 57
61.63 deg, d 1.505, intensity 28
77.17 deg, d 1.236, intensity 25

Atomic structure:
Cell: 4.256 4.256 8.669 Å, 90.00 90.00 90.00°
Space group P4/mmm (No. 123)
Unique sites:
Mg: 0.000 0.000 0.000 [1 per cell]
Mg: 0.000 0.000 0.500 [1 per cell]
Mg: 0.000 0.500 0.239 [4 per cell]
Ti: 0.500 0.500 0.500 [1 per cell]
Co: 0.500 0.500 0.000 [1 per cell]
O: 0.000 0.000 0.251 [2 per cell]
O: 0.000 0.500 0.000 [2 per cell]
O: 0.000 0.500 0.500 [2 per cell]
O: 0.500 0.500 0.264 [2 per cell]


# MgTi2Co4O8
Calculated XRD peak list, Cu Kα, 1.54184 Å. Input: a crystal structure in the Materials Project, relaxed with PBE+U.

Principal peaks in the range 2θ = 10–80°, sorted by position:
17.39 deg, d 5.100, intensity 46
28.56 deg, d 3.125, intensity 45
33.32 deg, d 2.689, intensity 100
34.02 deg, d 2.635, intensity 51
35.15 deg, d 2.553, intensity 88
35.27 deg, d 2.544, intensity 38
40.28 deg, d 2.239, intensity 36
53.25 deg, d 1.720, intensity 32

Atomic structure:
Cell: 10.242 6.417 6.256 Å, 90.00 125.35 90.00°
Space group Cm (No. 8)
Unique sites:
Mg: 0.000 0.000 0.000 [2 per cell]
Ti: 0.242 0.000 0.535 [2 per cell]
Ti: 0.279 0.000 0.016 [2 per cell]
Co: 0.128 0.500 0.106 [2 per cell]
Co: 0.181 0.500 0.664 [2 per cell]
Co: 0.455 0.272 0.479 [4 per cell]
O: 0.002 0.000 0.305 [2 per cell]
O: 0.205 0.199 0.186 [4 per cell]
O: 0.232 0.207 0.756 [4 per cell]
O: 0.403 0.500 0.634 [2 per cell]
O: 0.474 0.000 0.695 [2 per cell]
O: 0.496 0.000 0.258 [2 per cell]


# MgTiV4CoO12
Calculated XRD peak list, Cu Kα, 1.54184 Å. Input: a crystal structure in the Materials Project, relaxed with PBE+U.

Principal peaks in the range 2θ = 10–80°, sorted by position:
13.58 deg, d 6.523, intensity 52
18.74 deg, d 4.734, intensity 42
28.49 deg, d 3.133, intensity 100
28.68 deg, d 3.113, intensity 44
33.22 deg, d 2.697, intensity 32
35.32 deg, d 2.541, intensity 29
39.00 deg, d 2.309, intensity 30
53.34 deg, d 1.717, intensity 24

Atomic structure:
Cell: 10.731 8.593 5.777 Å, 90.00 110.98 90.00°
Space group C2 (No. 5)
Unique sites:
Mg: 0.000 0.000 0.000 [2 per cell]
Ti: 0.000 0.626 0.000 [2 per cell]
V: 0.222 0.110 0.539 [4 per cell]
V: 0.225 0.312 0.064 [4 per cell]
Co: 0.000 0.802 0.500 [2 per cell]
O: 0.087 0.822 0.891 [4 per cell]
O: 0.106 0.635 0.376 [4 per cell]
O: 0.130 0.499 0.975 [4 per cell]
O: 0.140 0.151 0.211 [4 per cell]
O: 0.158 0.214 0.724 [4 per cell]
O: 0.186 0.914 0.563 [4 per cell]